Structure and computed powder X-ray diffraction pattern of Li3Mn2CoO6 (the GGA+U geometry in Alexandria; Cu Kα X-rays).

Crystal structure
Cell lengths 5.059, 5.061, 5.097 Å; angles 79.40, 73.43, 64.86 degrees
Sites, in units of the cell vectors:
Li (0.000, 0.000, 0.000)
Li (0.340, 0.323, 0.999)
Li (0.660, 0.677, 0.001)
Mn (0.168, 0.667, 0.501)
Mn (0.832, 0.333, 0.499)
Co (0.500, 0.000, 0.500)
O (0.078, 0.345, 0.730)
O (0.266, 0.982, 0.270)
O (0.406, 0.690, 0.731)
O (0.594, 0.310, 0.269)
O (0.734, 0.018, 0.730)
O (0.922, 0.655, 0.270)

Most intense lines, 10 to 90 degrees two-theta, low angle first:
- (0 0 1), 2θ 18.2, I = 100
- (1 -1 0), 2θ 33.2, I = 23
- (2 1 1), 2θ 36.4, I = 28
- (-1 1 1), 2θ 39.7, I = 36
- (2 1 2), 2θ 44.5, I = 48
- (1 2 2), 2θ 46.6, I = 12
- (1 2 -2), 2θ 58.5, I = 9
- (3 0 1), 2θ 60.8, I = 16
- (1 2 3), 2θ 61.5, I = 16
- (3 3 1), 2θ 65.6, I = 13